(1)
For CaAlO2F4, a cell relaxed with GGA-PBE gives the simulated PXRD pattern in this record (CuKα).
No peak broadening, texture or thermal motion is included.

Cell and atoms:
```
data_CaAlO2F4
_chemical_formula_sum 'Ca2 Al2 O4 F8'
_symmetry_space_group_name_H-M 'P -1'
_symmetry_Int_Tables_number 2
_symmetry_space_group_name_Hall '-P 1'
_cell_length_a 4.9777
_cell_length_b 6.8125
_cell_length_c 7.0615
_cell_angle_alpha 97.86
_cell_angle_beta 93.78
_cell_angle_gamma 108.88
loop_
_atom_site_label
_atom_site_type_symbol
_atom_site_fract_x
_atom_site_fract_y
_atom_site_fract_z
Ca1 Ca 0.1455 0.1414 0.2671
Al1 Al 0.4878 0.2927 0.7978
O1 O 0.3193 0.7712 0.7160
O2 O 0.3703 0.5111 0.9557
F1 F 0.2259 0.1697 0.5968
F2 F 0.2513 0.1141 0.9381
F3 F 0.2785 0.8486 0.2182
F4 F 0.3056 0.5009 0.3159
```

The 10 most intense peaks (15° ≤ 2θ ≤ 90°), in order of rising 2θ:
- 2θ = 19.4°, I 100
- 2θ = 24.2°, I 34
- 2θ = 25.6°, I 63
- 2θ = 27.1°, I 23
- 2θ = 28.1°, I 58
- 2θ = 39.1°, I 22
- 2θ = 41.6°, I 27
- 2θ = 42.7°, I 29
- 2θ = 45.7°, I 35
- 2θ = 47.2°, I 22



(2)
For LiSbP4O12, a cell relaxed with GGA-PBE gives the simulated PXRD pattern in this record (CuKα).
No peak broadening, texture or thermal motion is included.

Cell and atoms:
```
data_LiSbP4O12
_chemical_formula_sum 'Li4 Sb4 P16 O48'
_symmetry_space_group_name_H-M 'C 1 2/c 1'
_symmetry_Int_Tables_number 15
_symmetry_space_group_name_Hall '-C 2yc'
_cell_length_a 16.4088
_cell_length_b 7.1287
_cell_length_c 9.8201
_cell_angle_alpha 90.00
_cell_angle_beta 125.50
_cell_angle_gamma 90.00
loop_
_atom_site_label
_atom_site_type_symbol
_atom_site_fract_x
_atom_site_fract_y
_atom_site_fract_z
Li1 Li 0.0000 0.1926 0.2500
Sb1 Sb 0.0000 0.3264 0.7500
P1 P 0.1389 0.0571 0.6196
P2 P 0.1442 0.3506 0.1901
O1 O 0.0680 0.4126 0.2221
O2 O 0.0688 0.0195 0.4359
O3 O 0.1210 0.2180 0.6974
O4 O 0.1245 0.3937 0.0234
O5 O 0.1533 0.1290 0.2261
O6 O 0.2495 0.0752 0.6584
```

The 10 most intense peaks (15° ≤ 2θ ≤ 90°), in order of rising 2θ:
- 2θ = 15.4°, I 47
- 2θ = 20.5°, I 100
- 2θ = 22.2°, I 91
- 2θ = 22.7°, I 36
- 2θ = 22.9°, I 57
- 2θ = 27.5°, I 96
- 2θ = 30.0°, I 35
- 2θ = 32.1°, I 38
- 2θ = 32.8°, I 61
- 2θ = 33.6°, I 47



(3)
For Al5Cu3O12, a cell relaxed with GGA-PBE gives the simulated PXRD pattern in this record (CuKα).
No peak broadening, texture or thermal motion is included.

Cell and atoms:
```
data_Al5Cu3O12
_chemical_formula_sum 'Al20 Cu12 O48'
_symmetry_space_group_name_H-M 'C 1 m 1'
_symmetry_Int_Tables_number 8
_symmetry_space_group_name_Hall 'C -2y'
_cell_length_a 9.9739
_cell_length_b 5.7672
_cell_length_c 14.1493
_cell_angle_alpha 90.00
_cell_angle_beta 90.26
_cell_angle_gamma 90.00
loop_
_atom_site_label
_atom_site_type_symbol
_atom_site_fract_x
_atom_site_fract_y
_atom_site_fract_z
Al1 Al 0.0000 0.0000 0.0000
Al2 Al 0.0030 0.5000 0.4994
Al3 Al 0.0877 0.2500 0.1664
Al4 Al 0.1685 0.0000 0.8305
Al5 Al 0.2547 0.2484 0.5004
Al6 Al 0.3330 0.0000 0.2886
Al7 Al 0.4222 0.2536 0.8301
Cu1 Cu 0.0019 0.0000 0.3684
Cu2 Cu 0.1708 0.5000 0.7040
Cu3 Cu 0.1725 0.5000 0.9639
Cu4 Cu 0.1747 0.5000 0.3317
Cu5 Cu 0.3374 0.0000 0.6615
Cu6 Cu 0.3389 0.0000 0.0432
O1 O 0.0042 0.0000 0.7686
O2 O 0.0050 0.5000 0.2425
O3 O 0.0159 0.0000 0.2370
O4 O 0.0793 0.2239 0.9109
O5 O 0.0956 0.2726 0.4223
O6 O 0.1535 0.0000 0.0850
O7 O 0.1537 0.5000 0.0947
O8 O 0.1708 0.5000 0.5660
O9 O 0.1910 0.0000 0.5720
O10 O 0.2381 0.2470 0.2486
O11 O 0.2617 0.2264 0.7547
O12 O 0.3269 0.5000 0.4257
O13 O 0.3376 0.0000 0.8996
O14 O 0.3389 0.0000 0.4167
O15 O 0.3531 0.5000 0.9103
O16 O 0.4108 0.2184 0.5723
O17 O 0.4399 0.2624 0.0792
O18 O 0.4886 0.0000 0.7547
```

The 10 most intense peaks (15° ≤ 2θ ≤ 90°), in order of rising 2θ:
- 2θ = 18.8°, I 30
- 2θ = 21.8°, I 33
- 2θ = 31.0°, I 38
- 2θ = 31.0°, I 46
- 2θ = 36.5°, I 100
- 2θ = 36.6°, I 68
- 2θ = 44.4°, I 17
- 2θ = 58.7°, I 20
- 2θ = 58.8°, I 22
- 2θ = 64.7°, I 66



(4)
For K2TlCuBr6, a cell relaxed with GGA-PBE gives the simulated PXRD pattern in this record (CuKα).
No peak broadening, texture or thermal motion is included.

Cell and atoms:
```
data_K2TlCuBr6
_chemical_formula_sum 'K8 Tl4 Cu4 Br24'
_symmetry_space_group_name_H-M 'F m -3 m'
_symmetry_Int_Tables_number 225
_symmetry_space_group_name_Hall '-F 4 2 3'
_cell_length_a 10.9208
_cell_length_b 10.9208
_cell_length_c 10.9208
_cell_angle_alpha 90.00
_cell_angle_beta 90.00
_cell_angle_gamma 90.00
loop_
_atom_site_label
_atom_site_type_symbol
_atom_site_fract_x
_atom_site_fract_y
_atom_site_fract_z
K1 K 0.2500 0.2500 0.2500
Tl1 Tl 0.0000 0.0000 0.0000
Cu1 Cu 0.0000 0.0000 0.5000
Br1 Br 0.0000 0.0000 0.2627
```

The 10 most intense peaks (15° ≤ 2θ ≤ 90°), in order of rising 2θ:
- 2θ = 16.2°, I 97
- 2θ = 23.0°, I 25
- 2θ = 28.3°, I 26
- 2θ = 32.8°, I 100
- 2θ = 36.8°, I 50
- 2θ = 47.1°, I 69
- 2θ = 50.1°, I 26
- 2θ = 58.6°, I 23
- 2θ = 78.3°, I 29
- 2θ = 87.5°, I 22



(5)
For NaSb, a cell relaxed with GGA-PBE gives the simulated PXRD pattern in this record (CuKα).
No peak broadening, texture or thermal motion is included.

Cell and atoms:
```
data_NaSb
_chemical_formula_sum 'Na8 Sb8'
_symmetry_space_group_name_H-M 'P 1 21/c 1'
_symmetry_Int_Tables_number 14
_symmetry_space_group_name_Hall '-P 2ybc'
_cell_length_a 6.8272
_cell_length_b 6.4121
_cell_length_c 12.5884
_cell_angle_alpha 90.00
_cell_angle_beta 117.44
_cell_angle_gamma 90.00
loop_
_atom_site_label
_atom_site_type_symbol
_atom_site_fract_x
_atom_site_fract_y
_atom_site_fract_z
Na1 Na 0.2297 0.0994 0.3264
Na2 Na 0.2330 0.6630 0.5410
Sb1 Sb 0.2898 0.1611 0.6039
Sb2 Sb 0.3072 0.5965 0.2971
```

The 10 most intense peaks (15° ≤ 2θ ≤ 90°), in order of rising 2θ:
- 2θ = 15.9°, I 41
- 2θ = 19.0°, I 62
- 2θ = 21.1°, I 100
- 2θ = 24.1°, I 39
- 2θ = 28.4°, I 52
- 2θ = 29.5°, I 59
- 2θ = 34.3°, I 36
- 2θ = 37.0°, I 44
- 2θ = 40.0°, I 60
- 2θ = 43.8°, I 34



What did the first record say?
For CaAlO2F4, a cell relaxed with GGA-PBE gives the simulated PXRD pattern in this record (CuKα).
No peak broadening, texture or thermal motion is included.

Cell and atoms:
```
data_CaAlO2F4
_chemical_formula_sum 'Ca2 Al2 O4 F8'
_symmetry_space_group_name_H-M 'P -1'
_symmetry_Int_Tables_number 2
_symmetry_space_group_name_Hall '-P 1'
_cell_length_a 4.9777
_cell_length_b 6.8125
_cell_length_c 7.0615
_cell_angle_alpha 97.86
_cell_angle_beta 93.78
_cell_angle_gamma 108.88
loop_
_atom_site_label
_atom_site_type_symbol
_atom_site_fract_x
_atom_site_fract_y
_atom_site_fract_z
Ca1 Ca 0.1455 0.1414 0.2671
Al1 Al 0.4878 0.2927 0.7978
O1 O 0.3193 0.7712 0.7160
O2 O 0.3703 0.5111 0.9557
F1 F 0.2259 0.1697 0.5968
F2 F 0.2513 0.1141 0.9381
F3 F 0.2785 0.8486 0.2182
F4 F 0.3056 0.5009 0.3159
```

The 10 most intense peaks (15° ≤ 2θ ≤ 90°), in order of rising 2θ:
- 2θ = 19.4°, I 100
- 2θ = 24.2°, I 34
- 2θ = 25.6°, I 63
- 2θ = 27.1°, I 23
- 2θ = 28.1°, I 58
- 2θ = 39.1°, I 22
- 2θ = 41.6°, I 27
- 2θ = 42.7°, I 29
- 2θ = 45.7°, I 35
- 2θ = 47.2°, I 22



Please write out number 2 again, unchanged.
For LiSbP4O12, a cell relaxed with GGA-PBE gives the simulated PXRD pattern in this record (CuKα).
No peak broadening, texture or thermal motion is included.

Cell and atoms:
```
data_LiSbP4O12
_chemical_formula_sum 'Li4 Sb4 P16 O48'
_symmetry_space_group_name_H-M 'C 1 2/c 1'
_symmetry_Int_Tables_number 15
_symmetry_space_group_name_Hall '-C 2yc'
_cell_length_a 16.4088
_cell_length_b 7.1287
_cell_length_c 9.8201
_cell_angle_alpha 90.00
_cell_angle_beta 125.50
_cell_angle_gamma 90.00
loop_
_atom_site_label
_atom_site_type_symbol
_atom_site_fract_x
_atom_site_fract_y
_atom_site_fract_z
Li1 Li 0.0000 0.1926 0.2500
Sb1 Sb 0.0000 0.3264 0.7500
P1 P 0.1389 0.0571 0.6196
P2 P 0.1442 0.3506 0.1901
O1 O 0.0680 0.4126 0.2221
O2 O 0.0688 0.0195 0.4359
O3 O 0.1210 0.2180 0.6974
O4 O 0.1245 0.3937 0.0234
O5 O 0.1533 0.1290 0.2261
O6 O 0.2495 0.0752 0.6584
```

The 10 most intense peaks (15° ≤ 2θ ≤ 90°), in order of rising 2θ:
- 2θ = 15.4°, I 47
- 2θ = 20.5°, I 100
- 2θ = 22.2°, I 91
- 2θ = 22.7°, I 36
- 2θ = 22.9°, I 57
- 2θ = 27.5°, I 96
- 2θ = 30.0°, I 35
- 2θ = 32.1°, I 38
- 2θ = 32.8°, I 61
- 2θ = 33.6°, I 47